Structure and simulated PXRD pattern of Li3FeP2O8 (DFT lattice parameters and positions (GGA+U); Cu Kα (weighted mean of Kα1 and Kα2)).
Peak positions follow from Bragg's law for the DFT cell and can differ from measured ones.

Crystal structure
Cell: 4.928 8.780 7.879 Å, 90.00 123.93 90.00°
Fractional coordinates of all 28 atoms:
Li: 0.000 0.000 0.000
Li: 0.000 0.500 0.500
Li: 0.329 0.138 0.818
Li: 0.329 0.362 0.318
Li: 0.671 0.638 0.682
Li: 0.671 0.862 0.182
Fe: 0.500 0.000 0.500
Fe: 0.500 0.500 0.000
P: 0.191 0.682 0.218
P: 0.191 0.818 0.718
P: 0.809 0.182 0.282
P: 0.809 0.318 0.782
O: 0.146 0.134 0.476
O: 0.146 0.366 0.976
O: 0.177 0.642 0.746
O: 0.177 0.858 0.246
O: 0.255 0.596 0.405
O: 0.255 0.904 0.905
O: 0.472 0.646 0.187
O: 0.472 0.854 0.687
O: 0.528 0.146 0.313
O: 0.528 0.354 0.813
O: 0.745 0.096 0.095
O: 0.745 0.404 0.595
O: 0.823 0.142 0.754
O: 0.823 0.358 0.254
O: 0.854 0.634 0.024
O: 0.854 0.866 0.524

Principal peaks in the range 2θ from 15° to 90°, in order of rising 2θ:
| d/Å | I_rel | (hkl) |
| --- | --- | --- |
| 5.243 | 100.0 | 0 1 1 |
| 3.707 | 61.9 | 1 1 0 |
| 3.645 | 35.3 | 0 2 1 |
| 3.474 | 53.8 | 1 1 -2 |
| 2.992 | 25.8 | 1 2 0 |
| 2.866 | 27.7 | 1 2 -2 |
| 2.692 | 29.6 | 1 1 1 |
| 2.622 | 56.5 | 0 2 2 |
| 2.514 | 51.3 | 1 3 -1 |
| 2.365 | 24.0 | 2 1 -2 |